For AcPr4Y15, a PBE-relaxed structure gives the computed X-ray diffraction stick pattern in this record (Cu Kα (weighted mean of Kα1 and Kα2)).

Largest 10 diffraction maxima, low angle first, 2θ from 10° to 80°:
(hkl)  2theta  intensity
1 0 0  17.3  4.3
1 0 5  24.6  3.9
1 1 5  30.2  100.0
2 0 0  35.0  33.9
0 0 10  35.2  16.4
2 2 0  50.3  11.9
2 0 10  50.5  23.2
3 1 5  59.8  27.9
1 1 15  60.1  13.3
2 2 10  62.9  11.8

Structure:
Lattice parameters (Å, degrees): 5.131 5.131 25.499 90.00 90.00 90.00
Atoms (fractional coordinates):
1 Ac 0.000 0.000 0.000
2 Pr 0.000 0.000 0.202
3 Pr 0.000 0.000 0.401
4 Pr 0.000 0.000 0.599
5 Pr 0.000 0.000 0.798
6 Y 0.000 0.500 0.104
7 Y 0.000 0.500 0.302
8 Y 0.000 0.500 0.500
9 Y 0.000 0.500 0.698
10 Y 0.000 0.500 0.896
11 Y 0.500 0.000 0.104
12 Y 0.500 0.000 0.302
13 Y 0.500 0.000 0.500
14 Y 0.500 0.000 0.698
15 Y 0.500 0.000 0.896
16 Y 0.500 0.500 0.000
17 Y 0.500 0.500 0.203
18 Y 0.500 0.500 0.401
19 Y 0.500 0.500 0.599
20 Y 0.500 0.500 0.797